Theoretical powder X-ray diffraction pattern
Compound: Er3UAg3S8
Radiation: CuKα
Structure: the PBE geometry in Alexandria
Neutral-atom scattering factors, no anomalous dispersion.

```
data_Er3UAg3S8
_chemical_formula_sum 'Er6 U2 Ag6 S16'
_symmetry_space_group_name_H-M 'C 1 2/m 1'
_symmetry_Int_Tables_number 12
_cell_length_a 13.0887
_cell_length_b 7.9850
_cell_length_c 7.6954
_cell_angle_alpha 90.00
_cell_angle_beta 122.61
_cell_angle_gamma 90.00
loop_
_symmetry_equiv_pos_as_xyz
'x,y,z'
'-x,-y,-z'
'-x,y,-z'
'x,-y,z'
'x+1/2,y+1/2,z'
'-x+1/2,-y+1/2,-z'
'-x+1/2,y+1/2,-z'
'x+1/2,-y+1/2,z'
loop_
_atom_site_label
_atom_site_type_symbol
_atom_site_fract_x
_atom_site_fract_y
_atom_site_fract_z
_atom_site_occupancy
Er1 Er 0.0000 0.0000 0.0000 1
Er2 Er 0.2500 0.2500 0.5000 1
U1 U 0.0000 0.5000 0.0000 1
Ag1 Ag 0.0000 0.5000 0.5000 1
Ag2 Ag 0.2500 0.2500 0.0000 1
S1 S 0.0042 0.2508 0.2432 1
S2 S 0.2448 0.5000 0.2551 1
S3 S 0.2472 0.0000 0.2546 1
```

Main lines, by angle (10 to 90 degrees two-theta):
- 13.68°, 6.472 Å, I 20, hkl 1 1 0
- 14.43°, 6.138 Å, I 32, hkl 2 0 -1
- 26.23°, 3.397 Å, I 20, hkl 2 0 1
- 27.56°, 3.236 Å, I 79, hkl 2 2 0
- 29.10°, 3.069 Å, I 23, hkl 4 0 -2
- 32.34°, 2.768 Å, I 100, hkl 2 2 -2
- 32.48°, 2.756 Å, I 49, hkl 4 0 0
- 45.45°, 1.996 Å, I 57, hkl 2 2 2
- 47.52°, 1.914 Å, I 33, hkl 6 2 -2
- 75.59°, 1.258 Å, I 20, hkl 0 4 4